Record 1
Simulated powder XRD pattern
Compound: SmGa3Pd
Radiation: Cu Kα (λ = 1.5418 Å)
Structure: a DFT-relaxed cell (GGA-PBE, the Materials Project)
Intensities are scaled so that the largest is 100.

The 10 most intense peaks (10° ≤ 2θ ≤ 90°), by angle:
d [Å]  2theta  Rel. int.
2.743  32.65  50
2.607  34.40  100
2.101  43.05  49
1.930  47.10  27
1.668  55.06  22
1.546  59.83  12
1.486  62.51  16
1.421  65.70  20
1.291  73.34  21
1.140  85.08  12

Cell and atoms:
abc: 4.203 4.203 10.860
angles: 90.00 90.00 90.00
Sites, in units of the cell vectors:
Sm1 0.000 0.000 0.000
Sm2 0.500 0.500 0.500
Ga1 0.000 0.000 0.386
Ga2 0.000 0.000 0.614
Ga3 0.000 0.500 0.250
Ga4 0.500 0.000 0.750
Ga5 0.500 0.500 0.114
Ga6 0.500 0.500 0.886
Pd1 0.000 0.500 0.750
Pd2 0.500 0.000 0.250



Record 2
Simulated powder XRD pattern
Compound: KMg3AlGe3O10F2
Radiation: Cu Kα (λ = 1.5418 Å)
Structure: a DFT-relaxed cell (GGA-PBE, the Materials Project)
Intensities are scaled so that the largest is 100.

The 10 most intense peaks (10° ≤ 2θ ≤ 90°), by angle:
d [Å]  2theta  Rel. int.
5.261  16.85  52
4.683  18.95  42
3.783  23.51  51
3.520  25.30  69
3.507  25.40  50
3.268  27.29  61
2.723  32.89  59
2.693  33.27  100
2.508  35.80  50
1.578  58.49  64

Cell and atoms:
abc: 5.466 5.467 10.675
angles: 80.28 85.28 60.02
Sites, in units of the cell vectors:
K1 0.000 0.000 0.000
Mg1 0.003 0.495 0.532
Mg2 0.335 0.815 0.532
Mg3 0.660 0.158 0.533
Al1 0.334 0.401 0.795
Ge1 0.334 0.247 0.254
Ge2 0.666 0.733 0.800
Ge3 0.668 0.582 0.254
O1 0.001 0.458 0.855
O2 0.001 0.515 0.187
O3 0.335 0.190 0.420
O4 0.335 0.456 0.626
O5 0.410 0.637 0.855
O6 0.423 0.937 0.186
O7 0.578 0.360 0.187
O8 0.589 0.048 0.856
O9 0.664 0.791 0.628
O10 0.668 0.528 0.420
F1 0.000 0.132 0.613
F2 0.994 0.860 0.433



Record 3
Simulated powder XRD pattern
Compound: LiGd2Ga
Radiation: Cu Kα (λ = 1.5418 Å)
Structure: a DFT-relaxed cell (GGA-PBE, the Materials Project)
Intensities are scaled so that the largest is 100.

The 10 most intense peaks (10° ≤ 2θ ≤ 90°), by angle:
d [Å]  2theta  Rel. int.
4.210  21.10  7
3.646  24.42  44
2.578  34.80  100
2.105  42.97  13
1.823  50.04  18
1.630  56.44  18
1.488  62.39  37
1.289  73.47  11
1.215  78.75  9
1.153  83.93  16

Cell and atoms:
abc: 7.292 7.292 7.292
angles: 90.00 90.00 90.00
Sites, in units of the cell vectors:
Li1 0.000 0.000 0.000
Li2 0.000 0.500 0.500
Li3 0.500 0.000 0.500
Li4 0.500 0.500 0.000
Gd1 0.250 0.250 0.250
Gd2 0.250 0.250 0.750
Gd3 0.250 0.750 0.250
Gd4 0.250 0.750 0.750
Gd5 0.750 0.250 0.250
Gd6 0.750 0.250 0.750
Gd7 0.750 0.750 0.250
Gd8 0.750 0.750 0.750
Ga1 0.000 0.000 0.500
Ga2 0.000 0.500 0.000
Ga3 0.500 0.000 0.000
Ga4 0.500 0.500 0.500



Record 4
Simulated powder XRD pattern
Compound: TeS7Br2
Radiation: Cu Kα (λ = 1.5418 Å)
Structure: a DFT-relaxed cell (GGA-PBE, the Materials Project)
Intensities are scaled so that the largest is 100.

The 10 most intense peaks (10° ≤ 2θ ≤ 90°), by angle:
d [Å]  2theta  Rel. int.
7.730  11.45  23
6.144  14.42  100
5.062  17.52  24
4.042  21.99  34
3.747  23.75  23
3.611  24.65  73
3.210  27.79  73
2.755  32.50  23
2.323  38.76  24
2.148  42.06  23

Cell and atoms:
abc: 10.125 9.294 13.923
angles: 90.00 90.00 90.00
Sites, in units of the cell vectors:
Te1 0.201 0.250 0.091
Te2 0.299 0.750 0.591
Te3 0.701 0.250 0.409
Te4 0.799 0.750 0.909
S1 0.156 0.571 0.280
S2 0.156 0.929 0.280
S3 0.176 0.540 0.518
S4 0.176 0.960 0.518
S5 0.239 0.522 0.894
S6 0.239 0.978 0.894
S7 0.245 0.250 0.730
S8 0.255 0.750 0.230
S9 0.261 0.022 0.394
S10 0.261 0.478 0.394
S11 0.324 0.040 0.018
S12 0.324 0.460 0.018
S13 0.344 0.071 0.780
S14 0.344 0.429 0.780
S15 0.656 0.571 0.220
S16 0.656 0.929 0.220
S17 0.676 0.540 0.982
S18 0.676 0.960 0.982
S19 0.739 0.522 0.606
S20 0.739 0.978 0.606
S21 0.745 0.250 0.770
S22 0.755 0.750 0.270
S23 0.761 0.022 0.106
S24 0.761 0.478 0.106
S25 0.824 0.040 0.482
S26 0.824 0.460 0.482
S27 0.844 0.071 0.720
S28 0.844 0.429 0.720
Br1 0.013 0.250 0.963
Br2 0.079 0.750 0.703
Br3 0.421 0.250 0.203
Br4 0.487 0.750 0.463
Br5 0.513 0.250 0.537
Br6 0.579 0.750 0.797
Br7 0.921 0.250 0.297
Br8 0.987 0.750 0.037



Record 5
Simulated powder XRD pattern
Compound: BiClO
Radiation: Cu Kα (λ = 1.5418 Å)
Structure: a DFT-relaxed cell (GGA-PBE, the Materials Project)
Intensities are scaled so that the largest is 100.

The 10 most intense peaks (10° ≤ 2θ ≤ 90°), by angle:
d [Å]  2theta  Rel. int.
7.828  11.30  43
3.501  25.44  52
2.768  32.35  100
2.609  34.37  13
1.957  46.40  19
1.899  47.92  22
1.750  52.26  17
1.708  53.66  15
1.598  57.69  31
1.305  72.44  14

Cell and atoms:
abc: 3.914 3.914 7.828
angles: 90.00 90.00 90.00
Sites, in units of the cell vectors:
Bi1 0.250 0.250 0.163
Bi2 0.750 0.750 0.837
Cl1 0.250 0.250 0.661
Cl2 0.750 0.750 0.339
O1 0.250 0.750 0.000
O2 0.750 0.250 0.000



Record 6
Simulated powder XRD pattern
Compound: Sm2In3Co9
Radiation: Cu Kα (λ = 1.5418 Å)
Structure: a DFT-relaxed cell (GGA-PBE, the Materials Project)
Intensities are scaled so that the largest is 100.

The 10 most intense peaks (10° ≤ 2θ ≤ 90°), by angle:
d [Å]  2theta  Rel. int.
2.870  31.16  100
2.727  32.85  21
2.550  35.20  33
2.450  36.68  30
2.222  40.61  83
2.203  40.96  28
2.094  43.21  28
2.043  44.34  25
2.017  44.95  47
1.934  46.99  30

Cell and atoms:
abc: 4.033 4.900 11.365
angles: 77.61 89.93 89.93
Sites, in units of the cell vectors:
Sm1 0.000 0.000 0.000
Sm2 0.004 0.636 0.726
In1 0.006 0.312 0.361
In2 0.502 0.116 0.767
In3 0.504 0.522 0.961
Co1 0.002 0.875 0.240
Co2 0.004 0.195 0.600
Co3 0.006 0.434 0.125
Co4 0.007 0.749 0.486
Co5 0.502 0.809 0.364
Co6 0.504 0.973 0.547
Co7 0.505 0.160 0.180
Co8 0.507 0.648 0.180
Co9 0.509 0.465 0.548